Diffraction record for Sc3TlO. The powder diffractogram is simulated, not measured: it uses DFT lattice parameters and positions (GGA-PBE) and Cu Kα, 1.54184 Å.
Neutral-atom scattering factors, no anomalous dispersion.

Largest 8 diffraction maxima, low angle first, 2θ from 10° to 80°:
two_theta, intensity, index
14.1, 61, 0 0 1
25.0, 65, 0 1 1
33.6, 100, 1 1 0
35.3, 87, 0 1 2
36.6, 43, 1 1 1
39.1, 80, 1 0 2
41.7, 33, 0 2 0
58.5, 51, 1 2 2

Crystal structure
Lattice parameters (Å, degrees): 3.392 4.327 6.289 90.00 90.07 90.00
Space group P2/m (No. 10)
Asymmetric unit:
Sc (0.000, 0.000, 0.000) [1 per cell]
Sc (0.499, 0.500, 0.760) [2 per cell]
Tl (0.000, 0.000, 0.500) [1 per cell]
O (0.000, 0.500, 0.000) [1 per cell]